# 1
Theoretical PXRD pattern
Compound: KErCoCl6
Radiation: copper Kα
Structure: DFT lattice parameters and positions (PBE)
Neutral-atom scattering factors, no anomalous dispersion.

Largest 6 diffraction maxima, by intensity, 2θ = 5–70°:
Position (°2θ), d [Å], I_rel
19.99, 4.442, 100
12.60, 7.028, 85
29.83, 2.995, 73
37.31, 2.410, 72
15.46, 5.733, 41
47.63, 1.909, 27

Cell lengths 6.624, 6.624, 7.028 Å; angles 90.11, 90.11, 120.14 degrees
Fractional positions:
K (0.000, 0.000, 0.000)
Er (0.666, 0.334, 0.500)
Co (0.333, 0.667, 0.500)
Cl (0.019, 0.378, 0.706)
Cl (0.019, 0.639, 0.294)
Cl (0.361, 0.981, 0.706)
Cl (0.367, 0.384, 0.291)
Cl (0.616, 0.633, 0.709)
Cl (0.622, 0.981, 0.294)

# 2
Theoretical PXRD pattern
Compound: NdHoPt2
Radiation: copper Kα
Structure: DFT lattice parameters and positions (PBE)
Neutral-atom scattering factors, no anomalous dispersion.

Largest 6 diffraction maxima, by intensity, 2θ = 5–70°:
Position (°2θ), d [Å], I_rel
39.85, 2.262, 100
31.70, 2.823, 84
33.48, 2.677, 26
39.11, 2.303, 21
47.37, 1.919, 20
53.02, 1.727, 16

Cell lengths 4.521, 5.687, 5.687 Å; angles 39.45, 90.00, 90.00 degrees
Fractional positions:
Nd (0.000, 0.000, 0.000)
Ho (0.500, 0.275, 0.275)
Pt (0.000, 0.728, 0.728)
Pt (0.500, 0.552, 0.552)

# 3
Theoretical PXRD pattern
Compound: RbB4O7
Radiation: copper Kα
Structure: DFT lattice parameters and positions (PBE)
Neutral-atom scattering factors, no anomalous dispersion.

Largest 6 diffraction maxima, by intensity, 2θ = 5–70°:
Position (°2θ), d [Å], I_rel
32.60, 2.747, 100
43.36, 2.087, 50
31.76, 2.818, 47
30.96, 2.888, 42
28.24, 3.160, 26
41.62, 2.170, 23

Cell lengths 11.114, 4.611, 4.340 Å; angles 90.00, 90.00, 90.00 degrees
Fractional positions:
Rb (0.000, 0.219, 0.000)
Rb (0.500, 0.781, 0.500)
B (0.124, 0.673, 0.531)
B (0.247, 0.827, 0.002)
B (0.253, 0.173, 0.502)
B (0.376, 0.327, 0.031)
B (0.624, 0.327, 0.031)
B (0.747, 0.173, 0.502)
B (0.753, 0.827, 0.002)
B (0.876, 0.673, 0.531)
O (0.000, 0.737, 0.438)
O (0.140, 0.735, 0.854)
O (0.155, 0.373, 0.471)
O (0.213, 0.884, 0.349)
O (0.287, 0.116, 0.849)
O (0.345, 0.627, 0.971)
O (0.360, 0.265, 0.354)
O (0.500, 0.263, 0.938)
O (0.640, 0.265, 0.354)
O (0.655, 0.627, 0.971)
O (0.713, 0.116, 0.849)
O (0.787, 0.884, 0.349)
O (0.845, 0.373, 0.471)
O (0.860, 0.735, 0.854)

# 4
Theoretical PXRD pattern
Compound: Ac4NiHg
Radiation: copper Kα
Structure: DFT lattice parameters and positions (PBE)
Neutral-atom scattering factors, no anomalous dispersion.

Largest 6 diffraction maxima, by intensity, 2θ = 5–70°:
Position (°2θ), d [Å], I_rel
31.70, 2.822, 100
27.33, 3.263, 90
31.56, 2.835, 39
31.34, 2.855, 38
29.23, 3.055, 35
47.79, 1.903, 32

Cell lengths 6.736, 7.613, 8.918 Å; angles 90.00, 109.78, 90.00 degrees
Fractional positions:
Ac (0.016, 0.003, 0.220)
Ac (0.016, 0.497, 0.220)
Ac (0.428, 0.250, 0.634)
Ac (0.452, 0.250, 0.085)
Ac (0.548, 0.750, 0.915)
Ac (0.572, 0.750, 0.366)
Ac (0.984, 0.503, 0.780)
Ac (0.984, 0.997, 0.780)
Ni (0.206, 0.750, 0.052)
Ni (0.794, 0.250, 0.948)
Hg (0.201, 0.750, 0.550)
Hg (0.799, 0.250, 0.450)

# 5
Theoretical PXRD pattern
Compound: RbTlAs
Radiation: copper Kα
Structure: DFT lattice parameters and positions (PBE)
Neutral-atom scattering factors, no anomalous dispersion.

Largest 6 diffraction maxima, by intensity, 2θ = 5–70°:
Position (°2θ), d [Å], I_rel
30.74, 2.909, 100
34.17, 2.624, 45
12.60, 7.027, 31
59.06, 1.564, 31
24.82, 3.588, 24
40.25, 2.240, 16

Cell lengths 7.500, 7.500, 7.500 Å; angles 151.36, 151.36, 40.95 degrees
Fractional positions:
Rb (0.000, 0.000, 0.000)
Tl (0.291, 0.291, 0.000)
As (0.671, 0.671, 0.000)

# 6
Theoretical PXRD pattern
Compound: SmO
Radiation: copper Kα
Structure: DFT lattice parameters and positions (PBE)
Neutral-atom scattering factors, no anomalous dispersion.

Largest 6 diffraction maxima, by intensity, 2θ = 5–70°:
Position (°2θ), d [Å], I_rel
30.90, 2.894, 100
25.06, 3.553, 46
44.15, 2.051, 39
58.23, 1.584, 34
36.01, 2.494, 23
54.85, 1.674, 21

Cell lengths 4.101, 4.101, 4.988 Å; angles 90.00, 90.00, 119.90 degrees
Fractional positions:
Sm (0.167, 0.833, 0.750)
Sm (0.833, 0.167, 0.250)
O (0.167, 0.833, 0.250)
O (0.833, 0.167, 0.750)

# 7
Theoretical PXRD pattern
Compound: Zr4ZnTc
Radiation: copper Kα
Structure: DFT lattice parameters and positions (PBE)
Neutral-atom scattering factors, no anomalous dispersion.

Largest 6 diffraction maxima, by intensity, 2θ = 5–70°:
Position (°2θ), d [Å], I_rel
36.62, 2.454, 100
38.45, 2.341, 46
68.35, 1.372, 30
64.71, 1.440, 15
55.50, 1.656, 15
49.91, 1.827, 11

Cell lengths 3.311, 3.311, 10.963 Å; angles 90.00, 90.00, 90.00 degrees
Fractional positions:
Zr (0.000, 0.000, 0.147)
Zr (0.000, 0.000, 0.853)
Zr (0.500, 0.500, 0.338)
Zr (0.500, 0.500, 0.662)
Zn (0.000, 0.000, 0.500)
Tc (0.500, 0.500, 0.000)

# 8
Theoretical PXRD pattern
Compound: BaTi2SiAg
Radiation: copper Kα
Structure: DFT lattice parameters and positions (PBE)
Neutral-atom scattering factors, no anomalous dispersion.

Largest 6 diffraction maxima, by intensity, 2θ = 5–70°:
Position (°2θ), d [Å], I_rel
24.18, 3.680, 100
35.64, 2.519, 53
43.54, 2.079, 42
49.54, 1.840, 40
33.25, 2.695, 32
24.99, 3.563, 31

Cell lengths 5.038, 5.038, 5.389 Å; angles 90.00, 90.00, 90.00 degrees
Fractional positions:
Ba (0.000, 0.000, 0.000)
Ti (0.000, 0.500, 0.000)
Ti (0.500, 0.000, 0.000)
Si (0.000, 0.000, 0.500)
Ag (0.500, 0.500, 0.500)

# 9
Theoretical PXRD pattern
Compound: Mn2Zn9Cu
Radiation: copper Kα
Structure: DFT lattice parameters and positions (PBE)
Neutral-atom scattering factors, no anomalous dispersion.

Largest 6 diffraction maxima, by intensity, 2θ = 5–70°:
Position (°2θ), d [Å], I_rel
40.48, 2.229, 100
40.64, 2.220, 49
40.92, 2.206, 49
46.03, 1.972, 34
47.45, 1.916, 31
48.29, 1.885, 29

Cell lengths 4.745, 5.995, 6.097 Å; angles 83.94, 84.08, 84.38 degrees
Fractional positions:
Mn (0.248, 0.088, 0.416)
Mn (0.752, 0.912, 0.584)
Zn (0.000, 0.500, 0.500)
Zn (0.005, 0.158, 0.828)
Zn (0.251, 0.409, 0.084)
Zn (0.256, 0.757, 0.747)
Zn (0.493, 0.681, 0.332)
Zn (0.507, 0.319, 0.668)
Zn (0.744, 0.243, 0.253)
Zn (0.749, 0.591, 0.916)
Zn (0.995, 0.842, 0.172)
Cu (0.500, 0.000, 0.000)